Starting from a structure optimized by DFT (PBE+U), the X-ray powder pattern of Li9Mn7O16 was calculated for Cu Kα.
Intensities are scaled so that the largest is 1000.

Main lines, most intense first (10 to 80 degrees two-theta):
2θ 18.3, I 1000; 2θ 44.3, I 534; 2θ 40.7, I 348; 2θ 34.0, I 181; 2θ 36.1, I 121; 2θ 36.4, I 117; 2θ 64.0, I 91; 2θ 58.4, I 90; 2θ 62.1, I 82; 2θ 61.9, I 82

Crystal structure
```
data_Li9Mn7O16
_symmetry_space_group_name_H-M 'P -1'
_symmetry_Int_Tables_number 2
_cell_length_a 3.0077
_cell_length_b 10.1688
_cell_length_c 10.1821
_cell_angle_alpha 107.15
_cell_angle_beta 93.49
_cell_angle_gamma 91.98
loop_
_symmetry_equiv_pos_as_xyz
'x,y,z'
'-x,-y,-z'
loop_
_atom_site_label
_atom_site_fract_x
_atom_site_fract_y
_atom_site_fract_z
_atom_site_occupancy
Li1 0.0000 0.0000 0.0000 1
Li2 0.0030 0.2479 0.7486 1
Li3 0.0112 0.2417 0.2408 1
Li4 0.4897 0.2419 0.0080 1
Li5 0.4939 0.2544 0.5025 1
Mn1 0.0000 0.0000 0.5000 1
Mn2 0.0000 0.5000 0.0000 1
Mn3 0.0000 0.5000 0.5000 1
Mn4 0.4971 0.9985 0.7582 1
Mn5 0.4988 0.5003 0.7500 1
O1 0.0265 0.1075 0.8564 1
O2 0.0316 0.1059 0.3630 1
O3 0.0330 0.3806 0.6213 1
O4 0.0339 0.3815 0.1216 1
O5 0.4642 0.6172 0.1282 1
O6 0.4657 0.6159 0.6266 1
O7 0.4710 0.1135 0.6230 1
O8 0.4932 0.1184 0.1363 1
```